Record 1
# Nd2Dy2CI2Br2Cl
Simulated PXRD pattern, λ = 1.5418 Å (Cu Kα). Input: a structure optimized by DFT (GGA-PBE).

Crystal structure
Unit cell a=9.512 b=9.512 c=8.235 alpha=100.75 beta=100.75 gamma=23.83
Fractional positions:
Nd (0.004, 0.004, 0.289)
Nd (0.996, 0.996, 0.711)
Dy (0.368, 0.368, 0.434)
Dy (0.632, 0.632, 0.566)
C (0.500, 0.500, 0.500)
I (0.168, 0.168, 0.852)
I (0.832, 0.832, 0.148)
Br (0.172, 0.172, 0.342)
Br (0.828, 0.828, 0.658)
Cl (0.500, 0.500, 0.000)

Main lines, in order of falling intensity (2θ = 10–80°):
d [Å]  2θ (°)  I/Imax
2.842  31.48  100
8.084  10.94  42
2.057  44.03  40
3.046  29.33  39
2.676  33.49  34
2.100  43.08  24
2.951  30.28  24
1.650  55.70  19
2.776  32.25  19
1.964  46.22  18

---

Record 2
# Pr2Dy2CI2BrCl2
Simulated PXRD pattern, λ = 1.5418 Å (Cu Kα). Input: a structure optimized by DFT (GGA-PBE).

Crystal structure
Unit cell a=9.535 b=9.535 c=8.216 alpha=101.54 beta=101.54 gamma=23.55
Fractional positions:
Pr (0.139, 0.139, 0.077)
Pr (0.861, 0.861, 0.923)
Dy (0.498, 0.498, 0.200)
Dy (0.502, 0.502, 0.800)
C (0.000, 0.000, 0.000)
I (0.330, 0.330, 0.209)
I (0.670, 0.670, 0.791)
Br (0.000, 0.000, 0.500)
Cl (0.355, 0.355, 0.667)
Cl (0.645, 0.645, 0.333)

Main lines, in order of falling intensity (2θ = 10–80°):
d [Å]  2θ (°)  I/Imax
2.825  31.68  100
8.043  11.00  65
3.046  29.32  53
2.083  43.45  30
2.649  33.83  29
2.060  43.96  25
1.946  46.69  21
2.664  33.64  21
2.926  30.55  20
2.708  33.07  20

---

Record 3
# Dy2Sc2CIBr2Cl2
Simulated PXRD pattern, λ = 1.5418 Å (Cu Kα). Input: a structure optimized by DFT (GGA-PBE).

Crystal structure
Unit cell a=9.687 b=9.687 c=8.492 alpha=102.64 beta=102.64 gamma=22.12
Fractional positions:
Dy (0.000, 0.000, 0.192)
Dy (0.000, 0.000, 0.808)
Sc (0.380, 0.380, 0.936)
Sc (0.620, 0.620, 0.064)
C (0.500, 0.500, 0.000)
I (0.500, 0.500, 0.500)
Br (0.157, 0.157, 0.861)
Br (0.843, 0.843, 0.139)
Cl (0.148, 0.148, 0.282)
Cl (0.852, 0.852, 0.718)

Main lines, in order of falling intensity (2θ = 10–80°):
d [Å]  2θ (°)  I/Imax
2.796  32.01  100
3.090  28.90  61
2.073  43.66  51
8.278  10.69  43
2.624  34.17  39
2.677  33.47  33
3.282  27.17  25
3.644  24.43  25
2.247  40.12  25
1.784  51.20  23

---

Record 4
# Dy2Sc2CI2Br2Cl
Simulated PXRD pattern, λ = 1.5418 Å (Cu Kα). Input: a structure optimized by DFT (GGA-PBE).

Crystal structure
Unit cell a=9.287 b=9.287 c=7.862 alpha=100.87 beta=100.87 gamma=23.37
Fractional positions:
Dy (0.132, 0.132, 0.069)
Dy (0.868, 0.868, 0.931)
Sc (0.498, 0.498, 0.192)
Sc (0.502, 0.502, 0.808)
C (0.000, 0.000, 0.000)
I (0.331, 0.331, 0.203)
I (0.669, 0.669, 0.797)
Br (0.351, 0.351, 0.659)
Br (0.649, 0.649, 0.341)
Cl (0.000, 0.000, 0.500)

Main lines, in order of falling intensity (2θ = 10–80°):
d [Å]  2θ (°)  I/Imax
2.717  32.96  100
7.715  11.47  71
4.462  19.90  46
2.975  30.04  37
3.374  26.41  33
2.610  34.35  28
2.338  38.50  26
2.565  34.98  23
2.023  44.80  21
1.881  48.40  19

---

Record 5
# Dy2Sc2CI2Br2Cl
Simulated PXRD pattern, λ = 1.5418 Å (Cu Kα). Input: a structure optimized by DFT (GGA-PBE).

Crystal structure
Unit cell a=10.155 b=10.155 c=7.854 alpha=100.69 beta=100.69 gamma=21.27
Fractional positions:
Dy (0.001, 0.001, 0.210)
Dy (0.999, 0.999, 0.790)
Sc (0.386, 0.386, 0.950)
Sc (0.614, 0.614, 0.050)
C (0.500, 0.500, 0.000)
I (0.158, 0.158, 0.332)
I (0.842, 0.842, 0.668)
Br (0.148, 0.148, 0.826)
Br (0.852, 0.852, 0.174)
Cl (0.500, 0.500, 0.500)

Main lines, in order of falling intensity (2θ = 10–80°):
d [Å]  2θ (°)  I/Imax
2.711  33.04  100
3.681  24.18  49
3.267  27.30  46
3.850  23.10  46
2.244  40.19  28
2.092  43.24  23
2.081  43.50  23
6.708  13.20  18
1.874  48.59  15
1.626  56.62  13

---

Record 6
# Dy2Sc2CIBr2Cl2
Simulated PXRD pattern, λ = 1.5418 Å (Cu Kα). Input: a structure optimized by DFT (GGA-PBE).

Crystal structure
Unit cell a=8.668 b=8.668 c=8.079 alpha=104.33 beta=104.33 gamma=24.93
Fractional positions:
Dy (0.144, 0.144, 0.076)
Dy (0.856, 0.856, 0.924)
Sc (0.499, 0.499, 0.183)
Sc (0.501, 0.501, 0.817)
C (0.000, 0.000, 0.000)
I (0.000, 0.000, 0.500)
Br (0.334, 0.334, 0.656)
Br (0.666, 0.666, 0.344)
Cl (0.334, 0.334, 0.155)
Cl (0.666, 0.666, 0.845)

Main lines, in order of falling intensity (2θ = 10–80°):
d [Å]  2θ (°)  I/Imax
2.743  32.64  100
4.078  21.79  37
5.050  17.56  28
2.729  32.82  26
3.022  29.56  24
7.815  11.32  19
1.925  47.21  17
1.945  46.69  17
2.318  38.84  13
1.871  48.67  12

---

Record 7
# Sm2Dy2CI2BrCl2
Simulated PXRD pattern, λ = 1.5418 Å (Cu Kα). Input: a structure optimized by DFT (GGA-PBE).

Crystal structure
Unit cell a=9.448 b=9.448 c=8.264 alpha=99.76 beta=99.76 gamma=23.84
Fractional positions:
Sm (0.002, 0.002, 0.296)
Sm (0.998, 0.998, 0.704)
Dy (0.368, 0.368, 0.436)
Dy (0.632, 0.632, 0.564)
C (0.500, 0.500, 0.500)
I (0.176, 0.176, 0.308)
I (0.824, 0.824, 0.692)
Br (0.500, 0.500, 0.000)
Cl (0.152, 0.152, 0.799)
Cl (0.848, 0.848, 0.201)

Main lines, in order of falling intensity (2θ = 10–80°):
d [Å]  2θ (°)  I/Imax
2.836  31.55  100
8.139  10.87  89
2.663  33.65  45
3.035  29.43  38
2.631  34.08  27
2.109  42.88  23
2.037  44.49  21
3.709  23.99  19
1.951  46.54  19
2.950  30.30  14

---

Record 8
# Sm2Dy2CI2Br2Cl
Simulated PXRD pattern, λ = 1.5418 Å (Cu Kα). Input: a structure optimized by DFT (GGA-PBE).

Crystal structure
Unit cell a=9.411 b=9.411 c=8.154 alpha=101.55 beta=101.55 gamma=23.75
Fractional positions:
Sm (0.137, 0.137, 0.069)
Sm (0.863, 0.863, 0.931)
Dy (0.497, 0.497, 0.203)
Dy (0.503, 0.503, 0.797)
C (0.000, 0.000, 0.000)
I (0.337, 0.337, 0.632)
I (0.663, 0.663, 0.368)
Br (0.334, 0.334, 0.181)
Br (0.666, 0.666, 0.819)
Cl (0.000, 0.000, 0.500)

Main lines, in order of falling intensity (2θ = 10–80°):
d [Å]  2θ (°)  I/Imax
2.808  31.88  100
3.005  29.73  49
2.039  44.43  39
7.981  11.09  33
2.639  33.97  30
2.904  30.79  29
2.064  43.87  29
1.936  46.92  20
2.421  37.14  19
6.694  13.23  19

---

Record 9
# Sm2Dy2CI2Br2Cl
Simulated PXRD pattern, λ = 1.5418 Å (Cu Kα). Input: a structure optimized by DFT (GGA-PBE).

Crystal structure
Unit cell a=9.630 b=9.630 c=8.098 alpha=101.97 beta=101.97 gamma=23.37
Fractional positions:
Sm (0.001, 0.001, 0.288)
Sm (0.999, 0.999, 0.712)
Dy (0.369, 0.369, 0.430)
Dy (0.631, 0.631, 0.570)
C (0.500, 0.500, 0.500)
I (0.172, 0.172, 0.314)
I (0.828, 0.828, 0.686)
Br (0.160, 0.160, 0.835)
Br (0.840, 0.840, 0.165)
Cl (0.500, 0.500, 0.000)

Main lines, in order of falling intensity (2θ = 10–80°):
d [Å]  2θ (°)  I/Imax
2.809  31.86  100
7.914  11.18  65
2.073  43.66  46
3.072  29.07  40
2.679  33.44  39
2.725  32.87  31
1.951  46.56  20
2.666  33.62  16
1.646  55.84  16
2.024  44.77  15

---

Record 10
# Sm2Dy2CI2Br2Cl
Simulated PXRD pattern, λ = 1.5418 Å (Cu Kα). Input: a structure optimized by DFT (GGA-PBE).

Crystal structure
Unit cell a=9.502 b=9.502 c=8.155 alpha=100.75 beta=100.75 gamma=23.69
Fractional positions:
Sm (0.004, 0.004, 0.291)
Sm (0.996, 0.996, 0.709)
Dy (0.368, 0.368, 0.435)
Dy (0.632, 0.632, 0.565)
C (0.500, 0.500, 0.500)
I (0.166, 0.166, 0.854)
I (0.834, 0.834, 0.146)
Br (0.170, 0.170, 0.335)
Br (0.830, 0.830, 0.665)
Cl (0.500, 0.500, 0.000)

Main lines, in order of falling intensity (2θ = 10–80°):
d [Å]  2θ (°)  I/Imax
2.818  31.75  100
3.043  29.35  41
8.005  11.05  41
2.666  33.62  33
2.089  43.32  25
2.934  30.47  25
2.047  44.24  24
1.950  46.57  19
6.684  13.25  18
2.760  32.44  18

---

Record 11
# Dy2Y2CI2BrCl2
Simulated PXRD pattern, λ = 1.5418 Å (Cu Kα). Input: a structure optimized by DFT (GGA-PBE).

Crystal structure
Unit cell a=9.345 b=9.345 c=8.115 alpha=99.76 beta=99.76 gamma=23.78
Fractional positions:
Dy (0.133, 0.133, 0.066)
Dy (0.867, 0.867, 0.934)
Y (0.498, 0.498, 0.201)
Y (0.502, 0.502, 0.799)
C (0.000, 0.000, 0.000)
I (0.325, 0.325, 0.199)
I (0.675, 0.675, 0.801)
Br (0.000, 0.000, 0.500)
Cl (0.351, 0.351, 0.692)
Cl (0.649, 0.649, 0.308)

Main lines, in order of falling intensity (2θ = 10–80°):
d [Å]  2θ (°)  I/Imax
2.791  32.06  100
7.992  11.07  89
3.002  29.76  37
2.630  34.09  34
2.598  34.52  31
3.661  24.31  28
2.079  43.52  24
3.455  25.79  22
1.925  47.21  19
2.010  45.10  18

---

Record 12
# Dy2Y2CIBr2Cl2
Simulated PXRD pattern, λ = 1.5418 Å (Cu Kα). Input: a structure optimized by DFT (GGA-PBE).

Crystal structure
Unit cell a=9.021 b=9.021 c=8.457 alpha=103.03 beta=103.03 gamma=24.56
Fractional positions:
Dy (0.000, 0.000, 0.192)
Dy (0.000, 0.000, 0.808)
Y (0.360, 0.360, 0.926)
Y (0.640, 0.640, 0.074)
C (0.500, 0.500, 0.000)
I (0.500, 0.500, 0.500)
Br (0.171, 0.171, 0.839)
Br (0.829, 0.829, 0.161)
Cl (0.159, 0.159, 0.309)
Cl (0.841, 0.841, 0.691)

Main lines, in order of falling intensity (2θ = 10–80°):
d [Å]  2θ (°)  I/Imax
2.841  31.49  100
8.576  10.31  95
2.857  31.31  68
8.229  10.75  51
2.022  44.83  29
2.009  45.13  28
2.571  34.90  24
1.918  47.39  21
3.345  26.65  19
1.430  65.26  19

---

Record 13
# Nd2Dy2CBr4Cl
Simulated PXRD pattern, λ = 1.5418 Å (Cu Kα). Input: a structure optimized by DFT (GGA-PBE).

Crystal structure
Unit cell a=9.257 b=9.257 c=8.037 alpha=104.03 beta=104.03 gamma=23.74
Fractional positions:
Nd (0.143, 0.143, 0.082)
Nd (0.857, 0.857, 0.918)
Dy (0.500, 0.500, 0.208)
Dy (0.500, 0.500, 0.792)
C (0.000, 0.000, 0.000)
Br (0.334, 0.334, 0.187)
Br (0.340, 0.340, 0.632)
Br (0.660, 0.660, 0.368)
Br (0.666, 0.666, 0.813)
Cl (0.000, 0.000, 0.500)

Main lines, in order of falling intensity (2θ = 10–80°):
d [Å]  2θ (°)  I/Imax
2.764  32.39  100
2.926  30.56  54
7.787  11.36  47
1.991  45.56  33
2.028  44.69  29
2.822  31.70  24
2.581  34.76  21
8.777  10.08  21
1.904  47.77  19
1.596  57.77  19

---

Record 14
# Nd2Dy2CBrCl4
Simulated PXRD pattern, λ = 1.5418 Å (Cu Kα). Input: a structure optimized by DFT (GGA-PBE).

Crystal structure
Unit cell a=8.881 b=8.881 c=8.436 alpha=103.84 beta=103.84 gamma=25.03
Fractional positions:
Nd (0.001, 0.001, 0.294)
Nd (0.999, 0.999, 0.706)
Dy (0.357, 0.357, 0.423)
Dy (0.643, 0.643, 0.577)
C (0.500, 0.500, 0.500)
Br (0.500, 0.500, 0.000)
Cl (0.169, 0.169, 0.812)
Cl (0.174, 0.174, 0.366)
Cl (0.826, 0.826, 0.634)
Cl (0.831, 0.831, 0.188)

Main lines, in order of falling intensity (2θ = 10–80°):
d [Å]  2θ (°)  I/Imax
2.843  31.46  100
8.179  10.82  94
8.406  10.52  52
1.996  45.45  50
2.802  31.94  40
2.829  31.63  31
3.173  28.13  24
4.177  21.27  23
3.370  26.45  22
3.107  28.73  20